(1)
KNdS2O8: calculated X-ray diffraction stick pattern (copper Kα), based on DFT lattice parameters and positions (GGA-PBE).

Main lines, low angle first (2θ = 10–90°):
2θ 15.0, intensity 100; 2θ 17.0, intensity 43; 2θ 19.4, intensity 45; 2θ 25.6, intensity 75; 2θ 26.1, intensity 85; 2θ 27.1, intensity 59; 2θ 29.1, intensity 63; 2θ 33.0, intensity 56

Structural model:
```
24
Lattice="5.4352 0.0000 0.0000 -0.1205 7.0243 0.0000 -0.3924 -1.2227 9.0943" Properties=species:S:1:pos:R:3 pbc="T T T"
K 1.1309 1.0220 1.6801
K 3.7914 4.7796 7.4142
Nd 1.0566 1.2529 6.5528
Nd 3.8657 4.5487 2.5416
S 1.3198 4.7172 0.6609
S 1.1623 4.7669 5.0910
S 3.7600 1.0347 4.0034
S 3.6025 1.0844 8.4334
O 0.0852 5.5249 0.9278
O 0.2574 5.1460 3.9827
O 0.7196 3.4725 5.6750
O 0.8071 2.8667 8.4295
O 1.1294 5.7993 6.1657
O 1.4990 3.7174 1.7616
O 2.3582 1.1588 4.4996
O 2.5174 5.6140 0.7144
O 2.4049 0.1876 8.3800
O 2.5642 4.6428 4.5947
O 3.4233 2.0842 7.3328
O 3.7929 0.0024 2.9286
O 4.1153 2.9349 0.6649
O 4.2027 2.3291 3.4194
O 4.6649 0.6556 5.1116
O 4.8371 0.2767 8.1665
```

=====

(2)
Sb4Se3S3: calculated X-ray diffraction stick pattern (copper Kα), based on DFT lattice parameters and positions (GGA-PBE).

Main lines, low angle first (2θ = 10–90°):
2θ 16.7, intensity 32; 2θ 23.6, intensity 32; 2θ 27.2, intensity 39; 2θ 28.4, intensity 100; 2θ 31.2, intensity 73; 2θ 32.5, intensity 38; 2θ 45.1, intensity 32; 2θ 51.2, intensity 37

Structural model:
```
20
Lattice="3.9528 0.0000 0.0000 0.0000 11.5058 0.0000 0.0000 0.0000 11.9980" Properties=species:S:1:pos:R:3 pbc="T T T"
Sb 0.0000 0.8970 0.0000
Sb 0.0000 3.2866 3.7988
Sb 0.0000 8.2192 9.7978
Sb 0.0000 10.6088 5.9990
Sb 1.9764 2.3994 7.3158
Sb 1.9764 4.7806 11.1559
Sb 1.9764 6.7252 5.1569
Sb 1.9764 9.1064 1.3168
Se 0.0000 4.3336 6.2105
Se 0.0000 7.1722 0.2115
Se 1.9764 1.3390 4.9201
Se 1.9764 5.1238 2.9958
Se 1.9764 6.3820 8.9948
Se 1.9764 10.1668 10.9191
S 0.0000 0.6717 8.0015
S 0.0000 3.5128 10.0960
S 0.0000 7.9930 4.0970
S 0.0000 10.8341 2.0025
S 1.9764 2.1956 1.0521
S 1.9764 9.3102 7.0511
```

=====

(3)
UGaNi: calculated X-ray diffraction stick pattern (copper Kα), based on DFT lattice parameters and positions (GGA-PBE).

Main lines, low angle first (2θ = 10–90°):
2θ 21.8, intensity 21; 2θ 31.4, intensity 32; 2θ 35.0, intensity 86; 2θ 38.5, intensity 100; 2θ 41.9, intensity 39; 2θ 44.4, intensity 27; 2θ 62.7, intensity 24; 2θ 63.0, intensity 37

Structural model:
```
9
Lattice="6.5893 0.0000 0.0000 -3.2947 5.7065 0.0000 0.0000 0.0000 4.0833" Properties=species:S:1:pos:R:3 pbc="T T T"
U -1.8838 3.2628 0.0000
U 1.4109 2.4438 0.0000
U 3.7675 0.0000 0.0000
Ga -0.7845 1.3588 2.0417
Ga 1.5690 0.0000 2.0417
Ga 2.5102 4.3477 2.0417
Ni 0.0000 0.0000 0.0000
Ni 0.0000 3.8044 2.0417
Ni 3.2947 1.9022 2.0417
```

=====

(4)
DyBiO3: calculated X-ray diffraction stick pattern (copper Kα), based on DFT lattice parameters and positions (GGA-PBE).

Main lines, low angle first (2θ = 10–90°):
2θ 20.1, intensity 4; 2θ 28.5, intensity 100; 2θ 40.8, intensity 27; 2θ 50.6, intensity 43; 2θ 59.1, intensity 18; 2θ 66.9, intensity 19; 2θ 74.3, intensity 6; 2θ 81.4, intensity 23

Structural model:
```
5
Lattice="4.4222 0.0000 0.0000 0.0000 4.4222 0.0000 0.0000 0.0000 4.4222" Properties=species:S:1:pos:R:3 pbc="T T T"
Dy 0.0000 0.0000 0.0000
Bi 2.2111 2.2111 2.2111
O 0.0000 2.2111 2.2111
O 2.2111 0.0000 2.2111
O 2.2111 2.2111 0.0000
```

=====

(5)
Al2ZnSe2S2: calculated X-ray diffraction stick pattern (copper Kα), based on DFT lattice parameters and positions (GGA-PBE).

Main lines, low angle first (2θ = 10–90°):
2θ 14.0, intensity 100; 2θ 26.8, intensity 89; 2θ 28.2, intensity 59; 2θ 29.3, intensity 44; 2θ 30.4, intensity 99; 2θ 39.4, intensity 57; 2θ 46.0, intensity 65; 2θ 51.1, intensity 34

Structural model:
```
7
Lattice="6.3391 0.0000 0.0000 0.0000 3.7859 0.0000 -0.0529 0.0000 6.9351" Properties=species:S:1:pos:R:3 pbc="T T T"
Al 0.0000 0.0000 0.0000
Al 2.7388 0.0000 2.2231
Zn 6.2464 1.8930 3.5747
Se 5.2639 0.0000 2.2579
Se 5.2390 1.8930 5.8180
S 2.1891 0.0000 0.1083
S 2.2474 1.8930 3.4735
```

=====

(6)
KGaFeC6N6: calculated X-ray diffraction stick pattern (copper Kα), based on DFT lattice parameters and positions (GGA-PBE).

Main lines, low angle first (2θ = 10–90°):
2θ 17.4, intensity 100; 2θ 24.8, intensity 71; 2θ 35.3, intensity 49; 2θ 39.6, intensity 23; 2θ 43.6, intensity 17; 2θ 50.8, intensity 22; 2θ 57.3, intensity 24; 2θ 69.1, intensity 18

Structural model:
```
15
Lattice="0.0000 5.0872 5.0872 5.0872 0.0000 5.0872 5.0872 5.0872 0.0000" Properties=species:S:1:pos:R:3 pbc="T T T"
K 0.0000 0.0000 0.0000
Ga 2.5436 2.5436 2.5436
Fe 7.6308 7.6308 7.6308
C 7.6308 7.6308 5.7549
C 7.6308 5.7549 7.6308
C 9.5068 7.6308 7.6308
C 5.7549 7.6308 7.6308
C 7.6308 9.5068 7.6308
C 7.6308 7.6308 9.5068
N 2.5436 2.5436 0.5086
N 2.5436 0.5086 2.5436
N 4.5786 2.5436 2.5436
N 0.5086 2.5436 2.5436
N 2.5436 4.5786 2.5436
N 2.5436 2.5436 4.5786
```

=====

(7)
NdAs12Os4: calculated X-ray diffraction stick pattern (copper Kα), based on DFT lattice parameters and positions (GGA-PBE).

Main lines, low angle first (2θ = 10–90°):
2θ 20.5, intensity 54; 2θ 29.2, intensity 100; 2θ 32.7, intensity 95; 2θ 38.9, intensity 45; 2θ 47.0, intensity 80; 2θ 51.8, intensity 93; 2θ 54.0, intensity 36; 2θ 68.6, intensity 32

Structural model:
```
17
Lattice="-4.3266 4.3266 4.3266 4.3266 -4.3266 4.3266 4.3266 4.3266 -4.3266" Properties=species:S:1:pos:R:3 pbc="T T T"
Nd 0.0000 0.0000 0.0000
As 2.9999 1.2905 0.0000
As 5.6533 1.2905 0.0000
As 4.3266 -1.3267 3.0360
As 3.0360 4.3266 -1.3267
As 1.2905 0.0000 2.9999
As 0.0000 2.9999 1.2905
As 4.3266 1.3267 3.0360
As 3.0360 4.3266 1.3267
As 1.2905 0.0000 5.6533
As 0.0000 5.6533 1.2905
As -1.3267 3.0360 4.3266
As 1.3267 3.0360 4.3266
Os 2.1633 2.1633 -2.1633
Os 2.1633 -2.1633 2.1633
Os -2.1633 2.1633 2.1633
Os 2.1633 2.1633 2.1633
```

=====

(8)
PrHfO4: calculated X-ray diffraction stick pattern (copper Kα), based on DFT lattice parameters and positions (GGA-PBE).

Main lines, low angle first (2θ = 10–90°):
2θ 28.0, intensity 100; 2θ 32.2, intensity 12; 2θ 32.6, intensity 22; 2θ 46.4, intensity 32; 2θ 46.7, intensity 16; 2θ 54.8, intensity 15; 2θ 55.4, intensity 30; 2θ 74.8, intensity 13

Structural model:
```
12
Lattice="-2.7489 2.7489 5.5656 2.7489 -2.7489 5.5656 2.7489 2.7489 -5.5656" Properties=species:S:1:pos:R:3 pbc="T T T"
Pr 0.0000 1.3744 1.3914
Pr 2.7489 1.3744 4.1742
Hf 2.7489 1.3744 -1.3914
Hf 0.0000 1.3744 6.9570
O 4.0436 0.2780 -0.3142
O 3.8454 -0.0797 2.4686
O 1.0965 -0.0797 3.0969
O 1.4541 2.4709 -0.3141
O 1.2947 0.2780 5.8797
O 1.6524 2.8286 2.4686
O -1.0965 2.8286 3.0969
O -1.2947 2.4709 5.8797
```

=====

(9)
SrSi6Pd6: calculated X-ray diffraction stick pattern (copper Kα), based on DFT lattice parameters and positions (GGA-PBE).

Main lines, low angle first (2θ = 10–90°):
2θ 21.0, intensity 28; 2θ 32.9, intensity 82; 2θ 34.0, intensity 100; 2θ 37.9, intensity 81; 2θ 44.2, intensity 66; 2θ 44.4, intensity 32; 2θ 45.2, intensity 27; 2θ 46.8, intensity 32

Structural model:
```
26
Lattice="-4.0579 4.1861 6.1460 4.0579 -4.1861 6.1460 4.0579 4.1861 -6.1460" Properties=species:S:1:pos:R:3 pbc="T T T"
Sr 0.0000 0.0000 3.0730
Sr 0.0000 0.0000 9.2190
Si 2.7186 1.3171 -1.4496
Si 2.7186 -1.3171 4.6964
Si 0.5164 1.9847 0.0000
Si 4.5743 2.2014 0.0000
Si 2.7186 1.3171 1.4496
Si 2.7186 -1.3171 7.5956
Si 1.3393 5.5032 -1.4496
Si 1.3393 2.8689 4.6964
Si -0.5164 1.9847 6.1460
Si 3.5416 2.2014 6.1460
Si 1.3393 5.5032 1.4496
Si 1.3393 2.8689 7.5956
Pd 6.6532 0.2673 0.0000
Pd 2.9461 -1.1776 2.2107
Pd 5.1698 -1.1776 3.9353
Pd 5.1698 1.1776 2.2107
Pd 2.9461 1.1776 3.9353
Pd 2.5953 3.9188 0.0000
Pd 1.4626 0.2673 6.1460
Pd 1.1118 3.0085 2.2107
Pd -1.1118 3.0085 3.9353
Pd -1.1118 5.3637 2.2107
Pd 1.1118 5.3637 3.9353
Pd -2.5953 3.9188 6.1460
```